No. 1
Starting from a PBE-relaxed structure, the PXRD pattern of La3FeNiS7 was calculated for Cu Kα.
No peak broadening, texture or thermal motion is included.

Principal peaks in the range 2θ from 10° to 90°, in order of rising 2θ:
hkl, Position (°2θ), d/Å, I (rel.)
1 1 1, 23.04, 3.860, 27
2 0 1, 25.18, 3.537, 100
2 1 0, 26.68, 3.341, 30
3 0 1, 34.01, 2.636, 35
2 2 0, 35.16, 2.553, 58
2 0 2, 36.64, 2.453, 62
1 3 1, 39.82, 2.264, 35
2 1 2, 40.81, 2.211, 28

Atomic structure:
abc: 10.2076 10.2076 5.8993
angles: 90.00 90.00 120.00
Space group P6_3 (No. 173)
One atom of each set of equivalent atoms:
La 0.1408 0.7687 0.0000 (multiplicity 6)
Fe 0.3333 0.6667 0.5842 (multiplicity 2)
Ni 0.0000 0.0000 0.2222 (multiplicity 2)
S 0.0838 0.8622 0.4717 (multiplicity 6)
S 0.0980 0.5162 0.7213 (multiplicity 6)
S 0.3333 0.6667 0.2112 (multiplicity 2)

No. 2
Starting from a PBE-relaxed structure, the PXRD pattern of La4SnBi2 was calculated for Cu Kα.
No peak broadening, texture or thermal motion is included.

Principal peaks in the range 2θ from 10° to 90°, in order of rising 2θ:
hkl, Position (°2θ), d/Å, I (rel.)
1 0 3, 28.56, 3.125, 44
3 1 0, 28.68, 3.112, 100
2 1 3, 34.03, 2.635, 98
4 0 2, 41.00, 2.202, 19
3 2 3, 43.05, 2.101, 19
4 1 3, 47.05, 1.932, 18
6 1 1, 57.73, 1.597, 30
7 2 1, 70.27, 1.340, 17

Atomic structure:
abc: 9.840 9.840 9.888
angles: 90.00 90.00 90.00
Space group I-42d (No. 122)
One atom of each set of equivalent atoms:
La 0.071 0.179 0.300 (multiplicity 16)
Sn 0.000 0.000 0.000 (multiplicity 4)
Bi 0.124 0.250 0.625 (multiplicity 8)

No. 3
Starting from a PBE-relaxed structure, the PXRD pattern of BaSiAu was calculated for Cu Kα.
No peak broadening, texture or thermal motion is included.

Principal peaks in the range 2θ from 10° to 90°, in order of rising 2θ:
hkl, Position (°2θ), d/Å, I (rel.)
1 0 0, 23.41, 3.801, 23
1 0 1, 29.48, 3.030, 100
0 0 2, 35.79, 2.509, 16
1 1 0, 41.14, 2.194, 32
2 0 1, 51.42, 1.777, 21
1 1 2, 55.65, 1.652, 27
1 0 3, 60.47, 1.531, 13
2 1 1, 67.86, 1.381, 19

Atomic structure:
abc: 4.3887 4.3887 5.0177
angles: 90.00 90.00 120.00
Space group P-6m2 (No. 187)
One atom of each set of equivalent atoms:
Ba 0.0000 0.0000 0.0000 (multiplicity 1)
Si 0.6667 0.3333 0.5000 (multiplicity 1)
Au 0.3333 0.6667 0.5000 (multiplicity 1)

No. 4
Starting from a PBE-relaxed structure, the PXRD pattern of Na3SbF6 was calculated for Cu Kα.
No peak broadening, texture or thermal motion is included.

Principal peaks in the range 2θ from 10° to 90°, in order of rising 2θ:
hkl, Position (°2θ), d/Å, I (rel.)
0 0 1, 11.99, 7.384, 100
1 0 0, 14.49, 6.115, 21
0 1 0, 15.25, 5.811, 60
1 1 0, 16.70, 5.307, 35
0 1 2, 23.02, 3.863, 18
0 0 2, 24.10, 3.693, 16
1 -1 0, 24.70, 3.604, 10
2 2 0, 33.78, 2.654, 12

Atomic structure:
abc: 6.588 6.768 8.016
angles: 67.77 87.10 68.86
Space group P-1 (No. 2)
One atom of each set of equivalent atoms:
Na 0.000 0.000 0.000 (multiplicity 1)
Na 0.000 0.500 0.000 (multiplicity 1)
Na 0.500 0.000 0.500 (multiplicity 1)
Sb 0.500 0.000 0.000 (multiplicity 1)
F 0.165 0.255 0.877 (multiplicity 2)
F 0.336 0.756 0.061 (multiplicity 2)
F 0.369 0.080 0.238 (multiplicity 2)

No. 5
Starting from a PBE-relaxed structure, the PXRD pattern of H8PtO6 was calculated for Cu Kα.
No peak broadening, texture or thermal motion is included.

Principal peaks in the range 2θ from 10° to 90°, in order of rising 2θ:
hkl, Position (°2θ), d/Å, I (rel.)
1 0 1, 19.22, 4.619, 100
0 1 1, 19.64, 4.519, 89
0 1 -1, 20.03, 4.433, 86
1 1 0, 20.41, 4.350, 93
1 0 -1, 21.04, 4.222, 73
0 0 2, 23.88, 3.726, 69
1 -1 0, 24.86, 3.582, 57
1 -2 1, 40.46, 2.229, 29

Atomic structure:
abc: 5.597 5.708 7.491
angles: 87.77 84.29 78.77
Space group P1 (No. 1)
One atom of each set of equivalent atoms:
H 0.000 0.000 0.000 (multiplicity 1)
H 0.015 0.618 0.823 (multiplicity 1)
H 0.113 0.186 0.431 (multiplicity 1)
H 0.121 0.625 0.576 (multiplicity 1)
H 0.168 0.294 0.966 (multiplicity 1)
H 0.213 0.041 0.705 (multiplicity 1)
H 0.293 0.954 0.210 (multiplicity 1)
H 0.411 0.500 0.552 (multiplicity 1)
H 0.430 0.861 0.928 (multiplicity 1)
H 0.462 0.412 0.834 (multiplicity 1)
H 0.528 0.941 0.477 (multiplicity 1)
H 0.640 0.229 0.317 (multiplicity 1)
H 0.682 0.219 0.102 (multiplicity 1)
H 0.723 0.483 0.730 (multiplicity 1)
H 0.807 0.710 0.165 (multiplicity 1)
H 0.834 0.827 0.357 (multiplicity 1)
Pt 0.256 0.511 0.228 (multiplicity 1)
Pt 0.763 0.015 0.727 (multiplicity 1)
O 0.070 0.145 0.650 (multiplicity 1)
O 0.145 0.200 0.296 (multiplicity 1)
O 0.224 0.447 0.969 (multiplicity 1)
O 0.285 0.606 0.486 (multiplicity 1)
O 0.382 0.809 0.140 (multiplicity 1)
O 0.447 0.897 0.794 (multiplicity 1)
O 0.598 0.374 0.729 (multiplicity 1)
O 0.611 0.337 0.207 (multiplicity 1)
O 0.680 0.005 0.467 (multiplicity 1)
O 0.824 0.024 0.987 (multiplicity 1)
O 0.900 0.677 0.272 (multiplicity 1)
O 0.921 0.665 0.716 (multiplicity 1)

No. 6
Starting from a PBE-relaxed structure, the PXRD pattern of TaBeB was calculated for Cu Kα.
No peak broadening, texture or thermal motion is included.

Principal peaks in the range 2θ from 10° to 90°, in order of rising 2θ:
hkl, Position (°2θ), d/Å, I (rel.)
0 0 1, 27.34, 3.262, 41
1 0 0, 31.69, 2.824, 93
1 0 1, 42.33, 2.135, 100
1 1 0, 56.43, 1.631, 31
1 1 1, 63.82, 1.458, 24
2 0 0, 66.17, 1.412, 35
2 0 1, 73.02, 1.296, 20
1 1 2, 83.91, 1.153, 15

Atomic structure:
abc: 3.2607 3.2607 3.2622
angles: 90.00 90.00 120.00
Space group P-6m2 (No. 187)
One atom of each set of equivalent atoms:
Ta 0.0000 0.0000 0.0000 (multiplicity 1)
Be 0.3333 0.6667 0.5000 (multiplicity 1)
B 0.6667 0.3333 0.5000 (multiplicity 1)

No. 7
Starting from a PBE-relaxed structure, the PXRD pattern of Ag2S was calculated for Cu Kα.
No peak broadening, texture or thermal motion is included.

Principal peaks in the range 2θ from 10° to 90°, in order of rising 2θ:
hkl, Position (°2θ), d/Å, I (rel.)
1 1 0, 25.40, 3.507, 10
1 0 -1, 25.62, 3.477, 10
1 1 -1, 28.26, 3.158, 32
0 2 1, 32.77, 2.733, 100
1 2 -1, 35.09, 2.558, 21
1 0 1, 37.31, 2.410, 32
0 4 0, 48.22, 1.887, 15
1 4 1, 62.51, 1.486, 13

Atomic structure:
abc: 4.223 7.549 4.239
angles: 90.00 110.55 90.00
Space group P2_1/m (No. 11)
One atom of each set of equivalent atoms:
Ag 0.000 0.000 0.000 (multiplicity 2)
Ag 0.369 0.250 0.608 (multiplicity 2)
S 0.236 0.750 0.790 (multiplicity 2)

No. 8
Starting from a PBE-relaxed structure, the PXRD pattern of SmBeF4 was calculated for Cu Kα.
No peak broadening, texture or thermal motion is included.

Principal peaks in the range 2θ from 10° to 90°, in order of rising 2θ:
hkl, Position (°2θ), d/Å, I (rel.)
1 1 0, 16.85, 5.262, 34
0 1 1, 20.52, 4.327, 50
1 1 1, 23.23, 3.829, 91
2 0 1, 26.93, 3.311, 100
0 0 2, 32.06, 2.792, 32
1 2 1, 32.55, 2.751, 51
2 1 2, 41.25, 2.188, 37
2 3 0, 45.43, 1.997, 70

Atomic structure:
abc: 8.223 6.848 5.583
angles: 90.00 90.00 90.00
Space group Pna2_1 (No. 33)
One atom of each set of equivalent atoms:
Sm 0.136 0.103 0.000 (multiplicity 4)
Be 0.048 0.629 0.076 (multiplicity 4)
F 0.081 0.772 0.860 (multiplicity 4)
F 0.103 0.744 0.317 (multiplicity 4)
F 0.137 0.412 0.594 (multiplicity 4)
F 0.151 0.440 0.080 (multiplicity 4)

No. 9
Starting from a PBE-relaxed structure, the PXRD pattern of ZrNi5 was calculated for Cu Kα.
No peak broadening, texture or thermal motion is included.

Principal peaks in the range 2θ from 10° to 90°, in order of rising 2θ:
hkl, Position (°2θ), d/Å, I (rel.)
1 1 1, 23.01, 3.865, 2
2 2 0, 38.02, 2.367, 35
3 1 1, 44.91, 2.018, 100
2 2 2, 47.03, 1.932, 34
4 0 0, 54.86, 1.673, 2
4 2 2, 68.70, 1.366, 11
5 1 1, 73.52, 1.288, 28
4 4 0, 81.31, 1.183, 23

Atomic structure:
abc: 6.694 6.694 6.694
angles: 90.00 90.00 90.00
Space group F-43m (No. 216)
One atom of each set of equivalent atoms:
Zr 0.000 0.000 0.000 (multiplicity 4)
Ni 0.124 0.124 0.376 (multiplicity 16)
Ni 0.250 0.250 0.750 (multiplicity 4)